Calculated X-ray powder pattern of Fe2P2O7 for Cu Kα (λ = 1.5418 Å), from the PBE+U geometry in the Materials Project.
No peak broadening, texture or thermal motion is included.

Structure:
Unit cell a=4.5666 b=10.1089 c=5.5304 alpha=90.00 beta=97.34 gamma=90.00
Element x y z (fractional)
Fe1 0.1130 0.1582 0.3994
Fe2 0.1130 0.3418 0.8994
Fe3 0.8870 0.6582 0.1006
Fe4 0.8870 0.8418 0.6006
P1 0.3572 0.6093 0.6552
P2 0.3572 0.8907 0.1552
P3 0.6428 0.1093 0.8448
P4 0.6428 0.3907 0.3448
O1 0.1246 0.6814 0.4767
O2 0.1246 0.8186 0.9767
O3 0.2131 0.5368 0.8540
O4 0.2131 0.9632 0.3540
O5 0.3867 0.1984 0.7382
O6 0.3867 0.3016 0.2382
O7 0.5000 0.0000 0.0000
O8 0.5000 0.5000 0.5000
O9 0.6133 0.6984 0.7618
O10 0.6133 0.8016 0.2618
O11 0.7869 0.0368 0.6460
O12 0.7869 0.4632 0.1460
O13 0.8754 0.1814 0.0233
O14 0.8754 0.3186 0.5233

Peak list (10 most intense, 2θ = 10–80°, in order of falling intensity)
29.74°, I 1000, hkl 1 2 -1
28.51°, I 623, hkl 1 1 1
33.87°, I 235, hkl 0 1 2
43.23°, I 166, hkl 1 4 -1
58.79°, I 160, hkl 1 3 -3
40.57°, I 101, hkl 1 0 2
55.85°, I 100, hkl 2 0 2
26.42°, I 93, hkl 1 2 0
48.77°, I 88, hkl 2 0 -2
56.55°, I 86, hkl 0 5 2